For K3Cr2Br9, a GGA-PBE-relaxed structure gives the simulated X-ray powder pattern in this record (CuKα).
Kinematic intensities with the Lorentz-polarization factor, no thermal factor.

Peak list (10 most intense, 10° ≤ 2θ ≤ 90°, in order of falling intensity)
two_theta  d [Å]  Rel. int.  hkl
34.2  2.619  100  0 2 2
29.6  3.014  91  2 0 1
16.9  5.237  41  0 1 1
49.0  1.861  34  2 0 4
49.5  1.843  34  2 2 0
29.2  3.054  30  0 0 3
58.5  1.578  24  2 2 3
61.5  1.507  17  4 0 2
82.7  1.167  14  2 4 2
81.9  1.176  13  2 2 6

Structure:
Unit cell a=7.3709 b=7.3709 c=9.1610 alpha=90.00 beta=90.00 gamma=120.00
Space group P-3m1 (No. 164)
Unique sites:
K 0.0000 0.0000 0.0000
K 0.3333 0.6667 0.3471
Cr 0.3333 0.6667 0.8251
Br 0.0000 0.5000 0.0000
Br 0.1737 0.3474 0.6788

---

For Zr8GaCo2, a GGA-PBE-relaxed structure gives the simulated X-ray powder pattern in this record (CuKα).
Kinematic intensities with the Lorentz-polarization factor, no thermal factor.

Peak list (10 most intense, 10° ≤ 2θ ≤ 90°, in order of falling intensity)
two_theta  d [Å]  Rel. int.  hkl
34.8  2.580  100  0 4 1
36.4  2.467  67  3 1 -1
37.2  2.419  65  2 4 0
34.4  2.608  57  2 0 1
38.9  2.318  37  1 1 -2
41.4  2.183  34  1 5 -1
41.6  2.170  27  3 3 0
51.2  1.783  24  3 3 -2
60.2  1.536  24  2 4 2
70.1  1.342  21  2 8 1

Structure:
Unit cell a=7.898 b=12.520 c=4.721 alpha=90.00 beta=105.13 gamma=90.00
Space group Cm (No. 8)
Unique sites:
Zr 0.000 0.000 0.000
Zr 0.092 0.381 0.761
Zr 0.193 0.122 0.624
Zr 0.277 0.500 0.364
Zr 0.412 0.241 0.178
Ga 0.390 0.000 0.190
Co 0.368 0.311 0.651

---

For Li2TlF3, a GGA-PBE-relaxed structure gives the simulated X-ray powder pattern in this record (CuKα).
Kinematic intensities with the Lorentz-polarization factor, no thermal factor.

Peak list (10 most intense, 10° ≤ 2θ ≤ 90°, in order of falling intensity)
two_theta  d [Å]  Rel. int.  hkl
23.0  3.875  100  1 1 1
34.4  2.605  86  2 2 1
14.5  6.096  62  1 1 0
38.8  2.320  49  3 1 1
26.4  3.376  44  0 2 1
31.4  2.851  44  1 3 0
21.7  4.096  42  2 0 0
48.3  1.884  26  1 3 2
35.8  2.510  23  0 0 2
54.7  1.678  21  1 5 1

Structure:
Unit cell a=8.193 b=9.123 c=5.020 alpha=90.00 beta=90.00 gamma=90.00
Space group Cmcm (No. 63)
Unique sites:
Li 0.159 0.000 0.000
Tl 0.000 0.346 0.250
F 0.000 0.069 0.750
F 0.202 0.417 0.750

---

For AlGaAg, a GGA-PBE-relaxed structure gives the simulated X-ray powder pattern in this record (CuKα).
Kinematic intensities with the Lorentz-polarization factor, no thermal factor.

Peak list (10 most intense, 10° ≤ 2θ ≤ 90°, in order of falling intensity)
two_theta  d [Å]  Rel. int.  hkl
36.0  2.497  100  4 0 0
31.5  2.844  78  1 1 0
42.4  2.130  61  3 1 -2
44.3  2.043  59  1 1 2
40.8  2.209  55  0 0 3
42.0  2.150  52  4 0 -3
25.4  3.503  51  2 0 -2
17.3  5.128  45  2 0 -1
40.7  2.215  43  3 1 0
32.8  2.732  39  1 1 -1

Structure:
Unit cell a=10.956 b=2.967 c=7.270 alpha=90.00 beta=114.26 gamma=90.00
Space group C2/m (No. 12)
Unique sites:
Al 0.120 0.000 0.180
Ga 0.125 0.500 0.495
Ag 0.128 0.500 0.868

---

For NdAsO, a GGA-PBE-relaxed structure gives the simulated X-ray powder pattern in this record (CuKα).
Kinematic intensities with the Lorentz-polarization factor, no thermal factor.

Peak list (10 most intense, 10° ≤ 2θ ≤ 90°, in order of falling intensity)
two_theta  d [Å]  Rel. int.  hkl
36.4  2.471  100  1 1 2
35.0  2.560  80  3 0 1
27.5  3.240  66  1 0 2
28.7  3.111  65  1 1 1
34.4  2.604  49  2 1 1
31.9  2.802  45  2 1 0
50.7  1.800  34  2 1 3
60.5  1.531  32  3 2 1
47.6  1.911  29  0 2 0
55.9  1.646  19  1 2 2

Structure:
Unit cell a=8.245 b=3.821 c=7.046 alpha=90.00 beta=90.00 gamma=90.00
Space group Pnma (No. 62)
Unique sites:
Nd 0.174 0.250 0.097
As 0.020 0.250 0.617
O 0.121 0.750 0.909

---

For TbHo3Au3, a GGA-PBE-relaxed structure gives the simulated X-ray powder pattern in this record (CuKα).
Kinematic intensities with the Lorentz-polarization factor, no thermal factor.

Peak list (10 most intense, 10° ≤ 2θ ≤ 90°, in order of falling intensity)
two_theta  d [Å]  Rel. int.  hkl
33.9  2.641  100  2 2 -2
37.8  2.378  86  2 2 2
36.0  2.496  45  0 4 0
35.1  2.556  40  4 0 0
12.4  7.142  27  1 1 0
51.2  1.786  19  4 4 0
52.3  1.750  18  0 0 4
32.2  2.783  14  3 1 1
27.7  3.225  13  3 1 0
40.0  2.253  13  4 2 -1

Structure:
Unit cell a=10.339 b=9.983 c=7.078 alpha=90.00 beta=98.61 gamma=90.00
Space group C2/m (No. 12)
Unique sites:
Tb 0.242 0.000 0.480
Ho 0.000 0.195 0.000
Ho 0.000 0.272 0.500
Ho 0.189 0.500 0.989
Au 0.043 0.000 0.713
Au 0.244 0.245 0.766

---

For Cs2LiC, a GGA-PBE-relaxed structure gives the simulated X-ray powder pattern in this record (CuKα).
Kinematic intensities with the Lorentz-polarization factor, no thermal factor.

Peak list (10 most intense, 10° ≤ 2θ ≤ 90°, in order of falling intensity)
two_theta  d [Å]  Rel. int.  hkl
11.8  7.484  100  1 1 1
23.8  3.742  75  2 2 2
22.8  3.908  58  3 1 1
46.5  1.954  36  6 2 2
27.5  3.241  34  4 0 0
30.0  2.974  33  3 3 1
39.3  2.292  33  4 4 0
41.2  2.191  27  5 3 1
36.0  2.495  24  5 1 1
54.4  1.688  16  7 3 1

Structure:
Unit cell a=12.963 b=12.963 c=12.963 alpha=90.00 beta=90.00 gamma=90.00
Space group Fd-3m (No. 227, origin choice 2)
Unique sites:
Cs 0.000 0.000 0.000
Li 0.125 0.125 0.625
C 0.125 0.125 0.125

---

For Zn2Ag4F9, a GGA-PBE-relaxed structure gives the simulated X-ray powder pattern in this record (CuKα).
Kinematic intensities with the Lorentz-polarization factor, no thermal factor.

Peak list (10 most intense, 10° ≤ 2θ ≤ 90°, in order of falling intensity)
two_theta  d [Å]  Rel. int.  hkl
30.7  2.916  100  1 1 0
29.9  2.990  94  -1 1 4
27.7  3.216  73  0 1 -4
30.7  2.911  52  1 -2 0
41.8  2.162  44  2 0 -4
54.5  1.684  34  3 0 0
49.3  1.847  31  1 1 6
20.5  4.323  30  1 -1 2
47.2  1.927  29  2 -1 6
45.0  2.013  28  1 -2 6

Structure:
Unit cell a=5.839 b=5.844 c=15.465 alpha=94.90 beta=90.07 gamma=119.92
Space group P-1 (No. 2)
Unique sites:
Zn 0.007 0.489 0.152
Zn 0.018 0.511 0.348
Ag 0.291 0.142 0.520
Ag 0.321 0.176 0.812
Ag 0.351 0.142 0.020
Ag 0.355 0.175 0.312
F 0.007 0.772 0.254
F 0.024 0.829 0.920
F 0.042 0.222 0.400
F 0.261 0.500 0.250
F 0.264 0.772 0.754
F 0.300 0.493 0.598
F 0.305 0.829 0.420
F 0.307 0.507 0.902
F 0.320 0.778 0.100

---

Please write out number 8 again, unchanged.
For Zn2Ag4F9, a GGA-PBE-relaxed structure gives the simulated X-ray powder pattern in this record (CuKα).
Kinematic intensities with the Lorentz-polarization factor, no thermal factor.

Peak list (10 most intense, 10° ≤ 2θ ≤ 90°, in order of falling intensity)
two_theta  d [Å]  Rel. int.  hkl
30.7  2.916  100  1 1 0
29.9  2.990  94  -1 1 4
27.7  3.216  73  0 1 -4
30.7  2.911  52  1 -2 0
41.8  2.162  44  2 0 -4
54.5  1.684  34  3 0 0
49.3  1.847  31  1 1 6
20.5  4.323  30  1 -1 2
47.2  1.927  29  2 -1 6
45.0  2.013  28  1 -2 6

Structure:
Unit cell a=5.839 b=5.844 c=15.465 alpha=94.90 beta=90.07 gamma=119.92
Space group P-1 (No. 2)
Unique sites:
Zn 0.007 0.489 0.152
Zn 0.018 0.511 0.348
Ag 0.291 0.142 0.520
Ag 0.321 0.176 0.812
Ag 0.351 0.142 0.020
Ag 0.355 0.175 0.312
F 0.007 0.772 0.254
F 0.024 0.829 0.920
F 0.042 0.222 0.400
F 0.261 0.500 0.250
F 0.264 0.772 0.754
F 0.300 0.493 0.598
F 0.305 0.829 0.420
F 0.307 0.507 0.902
F 0.320 0.778 0.100